No. 1
Simulated XRD peak list of Dy3Zn2Si4Ni2 for Cu Kα (λ = 1.5418 Å), from a DFT-relaxed cell (PBE, OQMD).
No peak broadening, texture or thermal motion is included.

Largest 8 diffraction maxima, in order of rising 2θ, 2θ = 5–70°:
2θ 24.7, 3.599 Å, intensity 26, hkl 0 1 3; 2θ 34.4, 2.611 Å, intensity 38, hkl 1 0 7; 2θ 35.1, 2.559 Å, intensity 100, hkl 1 1 4; 2θ 45.1, 2.009 Å, intensity 18, hkl 0 2 0; 2θ 45.8, 1.982 Å, intensity 18, hkl 2 0 0; 2θ 47.0, 1.935 Å, intensity 21, hkl 0 1 11; 2θ 57.9, 1.592 Å, intensity 17, hkl 1 2 7; 2θ 67.7, 1.385 Å, intensity 14, hkl 2 1 11

abc: 3.964 4.018 24.283
angles: 90.00 90.00 90.00
Space group Immm (No. 71)
Symmetry-distinct sites (fractional):
Dy 0.000 0.000 0.000 [2 per cell]
Dy 0.000 0.500 0.141 [4 per cell]
Zn 0.000 0.000 0.250 [4 per cell]
Si 0.000 0.000 0.451 [4 per cell]
Si 0.000 0.500 0.315 [4 per cell]
Ni 0.000 0.500 0.407 [4 per cell]



No. 2
Simulated XRD peak list of DyNiSn2 for Cu Kα (λ = 1.5418 Å), from a DFT-relaxed cell (PBE, OQMD).
No peak broadening, texture or thermal motion is included.

Largest 8 diffraction maxima, in order of rising 2θ, 2θ = 5–70°:
2θ 29.4, 3.042 Å, intensity 26, hkl 2 1 3; 2θ 33.6, 2.665 Å, intensity 100, hkl 2 1 4; 2θ 34.9, 2.571 Å, intensity 86, hkl 5 1 1; 2θ 35.9, 2.500 Å, intensity 25, hkl 3 1 4; 2θ 38.2, 2.356 Å, intensity 34, hkl 6 0 3; 2θ 40.6, 2.221 Å, intensity 54, hkl 0 2 0; 2θ 53.5, 1.713 Å, intensity 22, hkl 6 2 0; 2θ 57.0, 1.616 Å, intensity 21, hkl 6 2 3

abc: 16.140 4.442 14.633
angles: 90.00 90.00 90.00
Space group Pnma (No. 62)
Symmetry-distinct sites (fractional):
Dy 0.125 0.250 0.229 [4 per cell]
Dy 0.146 0.750 0.606 [4 per cell]
Dy 0.151 0.250 0.973 [4 per cell]
Ni 0.051 0.750 0.106 [4 per cell]
Ni 0.196 0.250 0.748 [4 per cell]
Ni 0.201 0.250 0.456 [4 per cell]
Sn 0.021 0.750 0.921 [4 per cell]
Sn 0.034 0.250 0.739 [4 per cell]
Sn 0.044 0.250 0.450 [4 per cell]
Sn 0.174 0.750 0.372 [4 per cell]
Sn 0.185 0.750 0.825 [4 per cell]
Sn 0.213 0.750 0.106 [4 per cell]